Entry 1:
Diffraction record for NpBe13. The powder diffractogram is theoretical, not measured: it uses DFT lattice parameters and positions (PBE) and a wavelength of 1.5418 Å.

Crystal structure
```
data_NpBe13
_chemical_formula_sum 'Np8 Be104'
_cell_length_a 10.188
_cell_length_b 10.188
_cell_length_c 10.188
_cell_angle_alpha 90.00
_cell_angle_beta 90.00
_cell_angle_gamma 90.00
_symmetry_space_group_name_H-M 'F m -3 c'
_symmetry_Int_Tables_number 226
_symmetry_space_group_name_Hall '-F 4a 2 3'
loop_
_atom_site_label
_atom_site_fract_x
_atom_site_fract_y
_atom_site_fract_z
Np1 0.250 0.250 0.250
Be1 0.000 0.000 0.000
Be2 0.000 0.115 0.176
```

Top 10 peaks for 2θ = 15–90°, by angle:
(2 0 0), 17.41°, d 5.094, I 97; (2 2 0), 24.72°, d 3.602, I 100; (2 2 2), 30.39°, d 2.941, I 43; (4 0 0), 35.24°, d 2.547, I 22; (4 2 0), 39.56°, d 2.278, I 69; (4 2 2), 43.52°, d 2.080, I 57; (4 4 2), 54.00°, d 1.698, I 26; (6 2 0), 57.18°, d 1.611, I 25; (6 4 2), 68.98°, d 1.361, I 28; (8 2 0), 77.21°, d 1.235, I 20



Entry 2:
Diffraction record for Ba4NaFe10As10. The powder diffractogram is theoretical, not measured: it uses DFT lattice parameters and positions (PBE) and a wavelength of 1.5418 Å.

Crystal structure
```
data_Ba4NaFe10As10
_chemical_formula_sum 'Ba8 Na2 Fe20 As20'
_cell_length_a 8.740
_cell_length_b 8.740
_cell_length_c 12.857
_cell_angle_alpha 90.00
_cell_angle_beta 90.00
_cell_angle_gamma 90.00
_symmetry_space_group_name_H-M 'I 4/m'
_symmetry_Int_Tables_number 87
_symmetry_space_group_name_Hall '-I 4'
loop_
_atom_site_label
_atom_site_fract_x
_atom_site_fract_y
_atom_site_fract_z
Ba1 0.105 0.698 0.000
Na1 0.000 0.000 0.500
Fe1 0.000 0.500 0.250
Fe2 0.100 0.201 0.250
As1 0.000 0.000 0.153
As2 0.099 0.701 0.348
```

Top 10 peaks for 2θ = 15–90°, by angle:
(1 2 3), 30.97°, d 2.888, I 100; (3 1 0), 32.39°, d 2.764, I 14; (3 1 2), 35.35°, d 2.539, I 32; (3 1 4), 43.17°, d 2.095, I 10; (2 4 0), 46.47°, d 1.954, I 34; (3 1 6), 54.16°, d 1.693, I 38; (5 0 3), 56.89°, d 1.619, I 34; (6 2 0), 67.82°, d 1.382, I 11; (3 6 3), 76.40°, d 1.247, I 7; (5 0 9), 88.37°, d 1.106, I 7



Entry 3:
Diffraction record for Hf4NiRh. The powder diffractogram is theoretical, not measured: it uses DFT lattice parameters and positions (PBE) and a wavelength of 1.5418 Å.

Crystal structure
```
data_Hf4NiRh
_chemical_formula_sum 'Hf64 Ni16 Rh16'
_cell_length_a 12.167
_cell_length_b 12.167
_cell_length_c 12.167
_cell_angle_alpha 90.00
_cell_angle_beta 90.00
_cell_angle_gamma 90.00
_symmetry_space_group_name_H-M 'F -4 3 m'
_symmetry_Int_Tables_number 216
_symmetry_space_group_name_Hall 'F -4 2 3'
loop_
_atom_site_label
_atom_site_fract_x
_atom_site_fract_y
_atom_site_fract_z
Hf1 0.000 0.000 0.186
Hf2 0.054 0.250 0.750
Hf3 0.109 0.109 0.391
Ni1 0.105 0.105 0.605
Rh1 0.166 0.166 0.166
```

Top 10 peaks for 2θ = 15–90°, by angle:
(3 3 1), 32.06°, d 2.791, I 37; (4 2 2), 36.17°, d 2.484, I 51; (5 1 1), 38.44°, d 2.342, I 100; (4 4 0), 42.01°, d 2.151, I 39; (5 5 3), 58.24°, d 1.584, I 10; (7 3 3), 62.48°, d 1.486, I 14; (6 6 0), 65.04°, d 1.434, I 43; (5 5 5), 66.56°, d 1.405, I 14; (9 3 3), 78.16°, d 1.223, I 17; (9 5 1), 81.90°, d 1.176, I 10



Entry 4:
Diffraction record for LiMg14BO15. The powder diffractogram is theoretical, not measured: it uses DFT lattice parameters and positions (PBE) and a wavelength of 1.5418 Å.

Crystal structure
```
data_LiMg14BO15
_chemical_formula_sum 'Li1 Mg14 B1 O15'
_cell_length_a 4.279
_cell_length_b 8.354
_cell_length_c 8.602
_cell_angle_alpha 90.00
_cell_angle_beta 90.00
_cell_angle_gamma 90.00
_symmetry_space_group_name_H-M 'P m m 2'
_symmetry_Int_Tables_number 25
_symmetry_space_group_name_Hall 'P 2 -2'
loop_
_atom_site_label
_atom_site_fract_x
_atom_site_fract_y
_atom_site_fract_z
Li1 0.000 0.000 0.000
Mg1 0.000 0.000 0.489
Mg2 0.000 0.244 0.241
Mg3 0.000 0.263 0.742
Mg4 0.000 0.500 0.489
Mg5 0.500 0.000 0.233
Mg6 0.500 0.000 0.751
Mg7 0.500 0.249 0.490
Mg8 0.500 0.259 0.991
Mg9 0.500 0.500 0.238
Mg10 0.500 0.500 0.750
B1 0.000 0.500 0.047
O1 0.000 0.000 0.236
O2 0.000 0.251 0.482
O3 0.000 0.329 0.997
O4 0.000 0.500 0.221
O5 0.000 0.500 0.716
O6 0.500 0.000 0.488
O7 0.500 0.000 0.992
O8 0.500 0.250 0.237
O9 0.500 0.253 0.744
O10 0.500 0.500 0.001
O11 0.500 0.500 0.477
```

Top 10 peaks for 2θ = 15–90°, by angle:
(1 2 2), 36.61°, d 2.454, I 32; (0 0 4), 42.02°, d 2.150, I 96; (2 0 0), 42.24°, d 2.139, I 100; (0 4 0), 43.32°, d 2.089, I 78; (2 0 4), 61.10°, d 1.517, I 54; (0 4 4), 61.94°, d 1.498, I 44; (2 4 0), 62.11°, d 1.495, I 46; (1 2 6), 73.22°, d 1.293, I 7; (1 6 2), 75.07°, d 1.265, I 9; (2 4 4), 77.83°, d 1.227, I 40



Entry 5:
Diffraction record for ZnSO11. The powder diffractogram is theoretical, not measured: it uses DFT lattice parameters and positions (PBE) and a wavelength of 1.5418 Å.

Crystal structure
```
data_ZnSO11
_chemical_formula_sum 'Zn4 S4 O44'
_cell_length_a 7.178
_cell_length_b 11.191
_cell_length_c 13.088
_cell_angle_alpha 90.00
_cell_angle_beta 90.00
_cell_angle_gamma 90.00
_symmetry_space_group_name_H-M 'P 21 21 21'
_symmetry_Int_Tables_number 19
_symmetry_space_group_name_Hall 'P 2ac 2ab'
loop_
_atom_site_label
_atom_site_fract_x
_atom_site_fract_y
_atom_site_fract_z
Zn1 0.086 0.059 0.128
S1 0.077 0.234 0.674
O1 0.003 0.354 0.671
O2 0.025 0.216 0.141
O3 0.037 0.852 0.498
O4 0.071 0.931 0.044
O5 0.074 0.436 0.029
O6 0.086 0.164 0.582
O7 0.148 0.186 0.768
O8 0.149 0.025 0.264
O9 0.241 0.354 0.292
O10 0.241 0.464 0.299
O11 0.244 0.408 0.049
```

Top 10 peaks for 2θ = 15–90°, by angle:
(0 1 2), 15.69°, d 5.649, I 71; (1 0 2), 18.35°, d 4.836, I 24; (1 1 2), 20.00°, d 4.439, I 100; (1 2 1), 21.25°, d 4.182, I 74; (2 0 0), 24.81°, d 3.588, I 26; (1 1 3), 25.18°, d 3.537, I 36; (2 1 0), 26.07°, d 3.418, I 26; (1 3 1), 27.80°, d 3.209, I 36; (2 2 1), 30.36°, d 2.944, I 36; (3 0 2), 40.12°, d 2.247, I 22



Entry 6:
Diffraction record for Ba2MgV2S6. The powder diffractogram is theoretical, not measured: it uses DFT lattice parameters and positions (PBE) and a wavelength of 1.5418 Å.

Crystal structure
```
data_Ba2MgV2S6
_chemical_formula_sum 'Ba2 Mg1 V2 S6'
_cell_length_a 6.141
_cell_length_b 6.818
_cell_length_c 7.231
_cell_angle_alpha 117.67
_cell_angle_beta 102.83
_cell_angle_gamma 90.36
_symmetry_space_group_name_H-M 'P 1'
_symmetry_Int_Tables_number 1
_symmetry_space_group_name_Hall 'P 1'
loop_
_atom_site_label
_atom_site_fract_x
_atom_site_fract_y
_atom_site_fract_z
Ba1 0.000 0.000 0.000
Ba2 0.376 0.422 0.838
Mg1 0.687 0.209 0.418
V1 0.186 0.710 0.419
V2 0.687 0.710 0.419
S1 0.402 0.389 0.269
S2 0.403 0.878 0.266
S3 0.503 0.864 0.729
S4 0.869 0.555 0.111
S5 0.969 0.542 0.574
S6 0.972 0.031 0.569
```

Top 10 peaks for 2θ = 15–90°, by angle:
(1 -1 0), 19.67°, d 4.513, I 53; (1 1 -1), 19.82°, d 4.479, I 52; (1 1 0), 22.37°, d 3.975, I 58; (0 2 -1), 26.14°, d 3.409, I 72; (-1 1 1), 26.30°, d 3.388, I 64; (1 1 -2), 26.51°, d 3.362, I 65; (1 0 -2), 28.93°, d 3.086, I 60; (1 -2 2), 35.25°, d 2.546, I 100; (2 -1 1), 35.37°, d 2.538, I 61; (1 0 2), 35.95°, d 2.498, I 49